Record 1
# Dy2Er2AlNi2Ge4
Computed PXRD pattern, a wavelength of 1.5418 Å. Input: a structure optimized by DFT (PBE).
Kinematic intensities with the Lorentz-polarization factor, no thermal factor.

Top 12 peaks for 10° ≤ 2θ ≤ 90°, in order of rising 2θ:
hkl 1 1 0, 2θ 21.96, d 4.048, I = 17
hkl 3 1 1, 2θ 33.78, d 2.653, I = 47
hkl 3 1 -2, 2θ 34.99, d 2.564, I = 66
hkl 6 0 -1, 2θ 35.47, d 2.531, I = 18
hkl 1 1 2, 2θ 36.64, d 2.453, I = 100
hkl 5 1 0, 2θ 37.74, d 2.384, I = 22
hkl 6 0 -2, 2θ 38.82, d 2.320, I = 13
hkl 0 0 3, 2θ 41.08, d 2.197, I = 14
hkl 0 2 0, 2θ 42.89, d 2.108, I = 38
hkl 6 0 1, 2θ 43.87, d 2.064, I = 12
hkl 4 0 3, 2θ 55.30, d 1.661, I = 13
hkl 6 2 -1, 2θ 56.86, d 1.619, I = 13

Crystal structure
```
data_Dy2Er2AlNi2Ge4
_chemical_formula_sum 'Dy4 Er4 Al2 Ni4 Ge8'
_cell_length_a 15.208
_cell_length_b 4.217
_cell_length_c 6.939
_cell_angle_alpha 90.00
_cell_angle_beta 108.19
_cell_angle_gamma 90.00
_space_group_name_H-M_alt 'C 1 2/m 1'
_space_group_IT_number 12
loop_
_space_group_symop_operation_xyz
'x,y,z'
'-x,-y,-z'
'-x,y,-z'
'x,-y,z'
'x+1/2,y+1/2,z'
'-x+1/2,-y+1/2,-z'
'-x+1/2,y+1/2,-z'
'x+1/2,-y+1/2,z'
loop_
_atom_site_label
_atom_site_type_symbol
_atom_site_fract_x
_atom_site_fract_y
_atom_site_fract_z
Dy1 Dy 0.154 0.000 0.438
Er1 Er 0.091 0.000 0.889
Al1 Al 0.000 0.500 0.500
Ni1 Ni 0.217 0.500 0.140
Ge1 Ge 0.064 0.500 0.167
Ge2 Ge 0.201 0.500 0.767
```

***

Record 2
# DyEr2Mg3Al2Hg
Computed PXRD pattern, a wavelength of 1.5418 Å. Input: a structure optimized by DFT (PBE).
Kinematic intensities with the Lorentz-polarization factor, no thermal factor.

Top 12 peaks for 10° ≤ 2θ ≤ 90°, in order of rising 2θ:
hkl 1 0 0, 2θ 19.72, d 4.502, I = 54
hkl 0 0 2, 2θ 24.15, d 3.685, I = 20
hkl 0 2 2, 2θ 27.95, d 3.192, I = 59
hkl 1 0 2, 2θ 31.37, d 2.852, I = 36
hkl 1 2 2, 2θ 34.44, d 2.604, I = 100
hkl 2 0 0, 2θ 40.06, d 2.251, I = 20
hkl 0 3 3, 2θ 42.53, d 2.126, I = 19
hkl 2 2 2, 2θ 49.55, d 1.840, I = 27
hkl 1 7 1, 2θ 55.74, d 1.649, I = 14
hkl 1 2 4, 2θ 55.86, d 1.646, I = 18
hkl 1 1 5, 2θ 67.33, d 1.391, I = 16
hkl 3 2 2, 2θ 69.17, d 1.358, I = 13

Crystal structure
```
data_DyEr2Mg3Al2Hg
_chemical_formula_sum 'Dy2 Er4 Mg6 Al4 Hg2'
_cell_length_a 4.502
_cell_length_b 12.794
_cell_length_c 7.357
_cell_angle_alpha 90.00
_cell_angle_beta 90.00
_cell_angle_gamma 90.00
_space_group_name_H-M_alt 'A m m 2'
_space_group_IT_number 38
loop_
_space_group_symop_operation_xyz
'x,y,z'
'-x,-y,z'
'-x,y,z'
'x,-y,z'
'x,y+1/2,z+1/2'
'-x,-y+1/2,z+1/2'
'-x,y+1/2,z+1/2'
'x,-y+1/2,z+1/2'
loop_
_atom_site_label
_atom_site_type_symbol
_atom_site_fract_x
_atom_site_fract_y
_atom_site_fract_z
Dy1 Dy 0.000 0.000 0.000
Er1 Er 0.000 0.213 0.640
Mg1 Mg 0.500 0.000 0.671
Mg2 Mg 0.500 0.122 0.305
Al1 Al 0.500 0.167 0.926
Hg1 Hg 0.000 0.000 0.428
```

***

Record 3
# Dy2ErMg4Al2
Computed PXRD pattern, a wavelength of 1.5418 Å. Input: a structure optimized by DFT (PBE).
Kinematic intensities with the Lorentz-polarization factor, no thermal factor.

Top 12 peaks for 10° ≤ 2θ ≤ 90°, in order of rising 2θ:
hkl 0 1 1, 2θ 13.70, d 6.464, I = 25
hkl 1 0 0, 2θ 19.48, d 4.558, I = 43
hkl 0 3 1, 2θ 23.86, d 3.730, I = 39
hkl 0 2 2, 2θ 27.61, d 3.231, I = 51
hkl 1 3 1, 2θ 30.98, d 2.887, I = 72
hkl 1 4 0, 2θ 34.01, d 2.636, I = 100
hkl 0 1 3, 2θ 36.76, d 2.445, I = 20
hkl 2 0 0, 2θ 39.55, d 2.279, I = 21
hkl 2 2 2, 2θ 48.90, d 1.862, I = 26
hkl 1 5 3, 2θ 55.01, d 1.669, I = 28
hkl 1 7 1, 2θ 55.13, d 1.666, I = 26
hkl 2 7 1, 2θ 66.44, d 1.407, I = 20

Crystal structure
```
data_Dy2ErMg4Al2
_chemical_formula_sum 'Dy4 Er2 Mg8 Al4'
_cell_length_a 4.558
_cell_length_b 12.897
_cell_length_c 7.479
_cell_angle_alpha 90.00
_cell_angle_beta 90.00
_cell_angle_gamma 90.00
_space_group_name_H-M_alt 'A m m 2'
_space_group_IT_number 38
loop_
_space_group_symop_operation_xyz
'x,y,z'
'-x,-y,z'
'-x,y,z'
'x,-y,z'
'x,y+1/2,z+1/2'
'-x,-y+1/2,z+1/2'
'-x,y+1/2,z+1/2'
'x,-y+1/2,z+1/2'
loop_
_atom_site_label
_atom_site_type_symbol
_atom_site_fract_x
_atom_site_fract_y
_atom_site_fract_z
Dy1 Dy 0.000 0.218 0.000
Er1 Er 0.000 0.000 0.655
Mg1 Mg 0.000 0.000 0.220
Mg2 Mg 0.500 0.000 0.969
Mg3 Mg 0.500 0.125 0.344
Al1 Al 0.500 0.166 0.718
```

***

Record 4
# SmDyEr2Al2
Computed PXRD pattern, a wavelength of 1.5418 Å. Input: a structure optimized by DFT (PBE).
Kinematic intensities with the Lorentz-polarization factor, no thermal factor.

Top 12 peaks for 10° ≤ 2θ ≤ 90°, in order of rising 2θ:
hkl 1 0 0, 2θ 19.59, d 4.531, I = 15
hkl 1 0 1, 2θ 23.77, d 3.743, I = 44
hkl 1 0 2, 2θ 33.46, d 2.678, I = 100
hkl 1 1 0, 2θ 34.28, d 2.616, I = 86
hkl 2 0 1, 2θ 42.15, d 2.144, I = 10
hkl 2 0 2, 2θ 48.66, d 1.871, I = 35
hkl 0 0 4, 2θ 55.38, d 1.659, I = 16
hkl 2 1 2, 2θ 60.87, d 1.522, I = 36
hkl 3 0 0, 2θ 61.39, d 1.510, I = 16
hkl 1 1 4, 2θ 66.74, d 1.402, I = 25
hkl 3 1 2, 2θ 81.98, d 1.175, I = 16
hkl 3 0 4, 2θ 87.28, d 1.117, I = 14

Crystal structure
```
data_SmDyEr2Al2
_chemical_formula_sum 'Sm1 Dy1 Er2 Al2'
_cell_length_a 5.2319
_cell_length_b 5.2319
_cell_length_c 6.6400
_cell_angle_alpha 90.00
_cell_angle_beta 90.00
_cell_angle_gamma 120.00
_space_group_name_H-M_alt 'P -6 m 2'
_space_group_IT_number 187
_space_group_name_Hall 'P -6 2'
loop_
_atom_site_label
_atom_site_type_symbol
_atom_site_fract_x
_atom_site_fract_y
_atom_site_fract_z
Sm1 Sm 0.0000 0.0000 0.0000
Dy1 Dy 0.3333 0.6667 0.5000
Er1 Er 0.6667 0.3333 0.2522
Al1 Al 0.0000 0.0000 0.5000
Al2 Al 0.3333 0.6667 0.0000
```

***

Record 5
# DyEr2TmAl2
Computed PXRD pattern, a wavelength of 1.5418 Å. Input: a structure optimized by DFT (PBE).
Kinematic intensities with the Lorentz-polarization factor, no thermal factor.

Top 12 peaks for 10° ≤ 2θ ≤ 90°, in order of rising 2θ:
hkl 1 0 0, 2θ 19.74, d 4.497, I = 13
hkl 1 0 1, 2θ 23.96, d 3.714, I = 49
hkl 1 0 2, 2θ 33.73, d 2.657, I = 100
hkl 1 1 0, 2θ 34.54, d 2.596, I = 88
hkl 2 0 1, 2θ 42.48, d 2.128, I = 11
hkl 2 0 2, 2θ 49.06, d 1.857, I = 35
hkl 0 0 4, 2θ 55.85, d 1.646, I = 17
hkl 2 1 2, 2θ 61.38, d 1.510, I = 36
hkl 3 0 0, 2θ 61.90, d 1.499, I = 16
hkl 1 1 4, 2θ 67.33, d 1.391, I = 25
hkl 3 1 2, 2θ 82.74, d 1.166, I = 16
hkl 3 0 4, 2θ 88.13, d 1.109, I = 14

Crystal structure
```
data_DyEr2TmAl2
_chemical_formula_sum 'Dy1 Er2 Tm1 Al2'
_cell_length_a 5.1929
_cell_length_b 5.1929
_cell_length_c 6.5869
_cell_angle_alpha 90.00
_cell_angle_beta 90.00
_cell_angle_gamma 120.00
_space_group_name_H-M_alt 'P -6 m 2'
_space_group_IT_number 187
_space_group_name_Hall 'P -6 2'
loop_
_atom_site_label
_atom_site_type_symbol
_atom_site_fract_x
_atom_site_fract_y
_atom_site_fract_z
Dy1 Dy 0.0000 0.0000 0.0000
Er1 Er 0.3333 0.6667 0.2516
Tm1 Tm 0.6667 0.3333 0.5000
Al1 Al 0.0000 0.0000 0.5000
Al2 Al 0.6667 0.3333 0.0000
```

***

Record 6
# Dy2ErTmAl4
Computed PXRD pattern, a wavelength of 1.5418 Å. Input: a structure optimized by DFT (PBE).
Kinematic intensities with the Lorentz-polarization factor, no thermal factor.

Top 12 peaks for 10° ≤ 2θ ≤ 90°, in order of rising 2θ:
hkl 0 1 1, 2θ 21.26, d 4.179, I = 29
hkl 1 1 1, 2θ 25.09, d 3.549, I = 19
hkl 2 0 0, 2θ 26.52, d 3.361, I = 44
hkl 1 0 4, 2θ 29.66, d 3.012, I = 41
hkl 1 1 3, 2θ 31.43, d 2.846, I = 100
hkl 2 1 1, 2θ 34.25, d 2.618, I = 44
hkl 2 0 4, 2θ 37.81, d 2.379, I = 15
hkl 0 2 0, 2θ 41.07, d 2.198, I = 20
hkl 3 0 4, 2θ 48.82, d 1.866, I = 16
hkl 2 2 0, 2θ 49.55, d 1.840, I = 16
hkl 3 1 3, 2θ 50.01, d 1.824, I = 17
hkl 1 2 4, 2θ 51.47, d 1.775, I = 18

Crystal structure
```
data_Dy2ErTmAl4
_chemical_formula_sum 'Dy4 Er2 Tm2 Al8'
_cell_length_a 6.719
_cell_length_b 4.396
_cell_length_c 13.479
_cell_angle_alpha 90.00
_cell_angle_beta 90.00
_cell_angle_gamma 90.00
_space_group_name_H-M_alt 'A m m 2'
_space_group_IT_number 38
loop_
_space_group_symop_operation_xyz
'x,y,z'
'-x,-y,z'
'-x,y,z'
'x,-y,z'
'x,y+1/2,z+1/2'
'-x,-y+1/2,z+1/2'
'-x,y+1/2,z+1/2'
'x,-y+1/2,z+1/2'
loop_
_atom_site_label
_atom_site_type_symbol
_atom_site_fract_x
_atom_site_fract_y
_atom_site_fract_z
Dy1 Dy 0.000 0.000 0.000
Dy2 Dy 0.500 0.000 0.448
Er1 Er 0.000 0.000 0.275
Tm1 Tm 0.500 0.000 0.174
Al1 Al 0.197 0.000 0.628
Al2 Al 0.304 0.000 0.820
```

***

Record 7
# Dy2YErAl4
Computed PXRD pattern, a wavelength of 1.5418 Å. Input: a structure optimized by DFT (PBE).
Kinematic intensities with the Lorentz-polarization factor, no thermal factor.

Top 12 peaks for 10° ≤ 2θ ≤ 90°, in order of rising 2θ:
hkl 0 1 1, 2θ 21.14, d 4.204, I = 20
hkl 1 1 1, 2θ 24.96, d 3.568, I = 31
hkl 2 0 0, 2θ 26.41, d 3.374, I = 33
hkl 1 0 4, 2θ 29.69, d 3.009, I = 40
hkl 1 1 3, 2θ 31.35, d 2.854, I = 100
hkl 2 1 1, 2θ 34.07, d 2.631, I = 38
hkl 2 0 4, 2θ 37.78, d 2.381, I = 16
hkl 0 2 0, 2θ 40.78, d 2.213, I = 20
hkl 3 0 4, 2θ 48.72, d 1.869, I = 16
hkl 2 2 0, 2θ 49.26, d 1.850, I = 15
hkl 3 1 3, 2θ 49.82, d 1.830, I = 16
hkl 1 2 4, 2θ 51.25, d 1.783, I = 18

Crystal structure
```
data_Dy2YErAl4
_chemical_formula_sum 'Dy4 Y2 Er2 Al8'
_cell_length_a 6.749
_cell_length_b 4.425
_cell_length_c 13.445
_cell_angle_alpha 90.00
_cell_angle_beta 90.00
_cell_angle_gamma 90.00
_space_group_name_H-M_alt 'A m m 2'
_space_group_IT_number 38
loop_
_space_group_symop_operation_xyz
'x,y,z'
'-x,-y,z'
'-x,y,z'
'x,-y,z'
'x,y+1/2,z+1/2'
'-x,-y+1/2,z+1/2'
'-x,y+1/2,z+1/2'
'x,-y+1/2,z+1/2'
loop_
_atom_site_label
_atom_site_type_symbol
_atom_site_fract_x
_atom_site_fract_y
_atom_site_fract_z
Dy1 Dy 0.000 0.000 0.000
Dy2 Dy 0.500 0.000 0.447
Y1 Y 0.000 0.000 0.276
Er1 Er 0.500 0.000 0.172
Al1 Al 0.196 0.000 0.627
Al2 Al 0.305 0.000 0.820
```

***

Record 8
# DyAlH2O2F3
Computed PXRD pattern, a wavelength of 1.5418 Å. Input: a structure optimized by DFT (PBE).
Kinematic intensities with the Lorentz-polarization factor, no thermal factor.

Top 12 peaks for 10° ≤ 2θ ≤ 90°, in order of rising 2θ:
hkl 0 1 1, 2θ 17.97, d 4.936, I = 24
hkl 1 1 0, 2θ 20.60, d 4.312, I = 100
hkl 1 0 1, 2θ 24.63, d 3.615, I = 21
hkl 0 1 -1, 2θ 25.13, d 3.544, I = 25
hkl 0 1 2, 2θ 27.74, d 3.216, I = 22
hkl 1 -1 0, 2θ 29.23, d 3.055, I = 18
hkl 0 2 1, 2θ 32.01, d 2.796, I = 22
hkl 1 0 -2, 2θ 32.56, d 2.750, I = 18
hkl 0 2 0, 2θ 33.70, d 2.660, I = 30
hkl 2 1 1, 2θ 38.27, d 2.352, I = 22
hkl 2 1 2, 2θ 45.34, d 2.000, I = 31
hkl 1 3 0, 2θ 48.44, d 1.879, I = 15

Crystal structure
```
data_DyAlH2O2F3
_chemical_formula_sum 'Dy2 Al2 H4 O4 F6'
_cell_length_a 4.995
_cell_length_b 5.939
_cell_length_c 6.689
_cell_angle_alpha 71.83
_cell_angle_beta 89.19
_cell_angle_gamma 71.24
_space_group_name_H-M_alt 'P -1'
_space_group_IT_number 2
loop_
_space_group_symop_operation_xyz
'x,y,z'
'-x,-y,-z'
loop_
_atom_site_label
_atom_site_type_symbol
_atom_site_fract_x
_atom_site_fract_y
_atom_site_fract_z
Dy1 Dy 0.216 0.283 0.315
Al1 Al 0.336 0.210 0.828
H1 H 0.259 0.789 0.951
H2 H 0.281 0.788 0.415
O1 O 0.416 0.859 0.935
O2 O 0.447 0.847 0.389
F1 F 0.023 0.291 0.639
F2 F 0.054 0.262 0.007
F3 F 0.271 0.544 0.741
```

***

Record 9
# Dy4AlFe2Ge4
Computed PXRD pattern, a wavelength of 1.5418 Å. Input: a structure optimized by DFT (PBE).
Kinematic intensities with the Lorentz-polarization factor, no thermal factor.

Top 12 peaks for 10° ≤ 2θ ≤ 90°, in order of rising 2θ:
hkl 1 1 0, 2θ 21.92, d 4.055, I = 28
hkl 3 1 0, 2θ 27.93, d 3.194, I = 18
hkl 3 1 1, 2θ 33.34, d 2.687, I = 79
hkl 3 1 -2, 2θ 35.21, d 2.549, I = 100
hkl 6 0 -1, 2θ 35.32, d 2.541, I = 31
hkl 1 1 2, 2θ 36.36, d 2.471, I = 80
hkl 5 1 -1, 2θ 36.58, d 2.456, I = 47
hkl 5 1 0, 2θ 37.33, d 2.409, I = 33
hkl 6 0 -2, 2θ 39.05, d 2.307, I = 21
hkl 0 0 3, 2θ 40.89, d 2.207, I = 23
hkl 0 2 0, 2θ 42.88, d 2.109, I = 74
hkl 9 1 -1, 2θ 58.55, d 1.577, I = 21

Crystal structure
```
data_Dy4AlFe2Ge4
_chemical_formula_sum 'Dy8 Al2 Fe4 Ge8'
_cell_length_a 15.306
_cell_length_b 4.219
_cell_length_c 6.910
_cell_angle_alpha 90.00
_cell_angle_beta 106.61
_cell_angle_gamma 90.00
_space_group_name_H-M_alt 'C 1 2/m 1'
_space_group_IT_number 12
loop_
_space_group_symop_operation_xyz
'x,y,z'
'-x,-y,-z'
'-x,y,-z'
'x,-y,z'
'x+1/2,y+1/2,z'
'-x+1/2,-y+1/2,-z'
'-x+1/2,y+1/2,-z'
'x+1/2,-y+1/2,z'
loop_
_atom_site_label
_atom_site_type_symbol
_atom_site_fract_x
_atom_site_fract_y
_atom_site_fract_z
Dy1 Dy 0.090 0.000 0.386
Dy2 Dy 0.151 0.000 0.941
Al1 Al 0.000 0.500 0.000
Fe1 Fe 0.220 0.500 0.629
Ge1 Ge 0.067 0.500 0.664
Ge2 Ge 0.207 0.500 0.273
```

***

Record 10
# Dy2Al3Ga3
Computed PXRD pattern, a wavelength of 1.5418 Å. Input: a structure optimized by DFT (PBE).
Kinematic intensities with the Lorentz-polarization factor, no thermal factor.

Top 12 peaks for 10° ≤ 2θ ≤ 90°, in order of rising 2θ:
hkl 0 0 2, 2θ 16.33, d 5.429, I = 15
hkl 1 0 2, 2θ 25.47, d 3.498, I = 50
hkl 0 1 3, 2θ 28.47, d 3.135, I = 22
hkl 0 2 2, 2θ 32.99, d 2.715, I = 26
hkl 1 0 4, 2θ 38.56, d 2.335, I = 100
hkl 2 0 0, 2θ 39.41, d 2.286, I = 22
hkl 2 2 2, 2θ 52.31, d 1.749, I = 14
hkl 0 4 0, 2θ 58.92, d 1.568, I = 17
hkl 1 1 7, 2θ 65.22, d 1.430, I = 10
hkl 3 0 4, 2θ 70.91, d 1.329, I = 16
hkl 1 4 4, 2θ 72.65, d 1.301, I = 13
hkl 2 4 0, 2θ 73.21, d 1.293, I = 18

Crystal structure
```
data_Dy2Al3Ga3
_chemical_formula_sum 'Dy4 Al6 Ga6'
_cell_length_a 4.572
_cell_length_b 6.274
_cell_length_c 10.854
_cell_angle_alpha 90.00
_cell_angle_beta 90.00
_cell_angle_gamma 90.00
_space_group_name_H-M_alt 'A m m 2'
_space_group_IT_number 38
loop_
_space_group_symop_operation_xyz
'x,y,z'
'-x,-y,z'
'-x,y,z'
'x,-y,z'
'x,y+1/2,z+1/2'
'-x,-y+1/2,z+1/2'
'-x,y+1/2,z+1/2'
'x,-y+1/2,z+1/2'
loop_
_atom_site_label
_atom_site_type_symbol
_atom_site_fract_x
_atom_site_fract_y
_atom_site_fract_z
Dy1 Dy 0.000 0.000 0.000
Dy2 Dy 0.500 0.000 0.334
Al1 Al 0.000 0.219 0.740
Al2 Al 0.500 0.000 0.811
Ga1 Ga 0.000 0.000 0.518
Ga2 Ga 0.500 0.224 0.593
```

***

Record 11
# Dy3Al2GaGe2Pt
Computed PXRD pattern, a wavelength of 1.5418 Å. Input: a structure optimized by DFT (PBE).
Kinematic intensities with the Lorentz-polarization factor, no thermal factor.

Top 12 peaks for 10° ≤ 2θ ≤ 90°, in order of rising 2θ:
hkl 1 0 0, 2θ 20.97, d 4.236, I = 34
hkl 0 3 1, 2θ 25.60, d 3.480, I = 27
hkl 0 2 2, 2θ 29.35, d 3.043, I = 25
hkl 0 4 0, 2θ 29.77, d 3.001, I = 19
hkl 1 3 1, 2θ 33.32, d 2.689, I = 59
hkl 1 2 2, 2θ 36.35, d 2.472, I = 100
hkl 1 4 0, 2θ 36.70, d 2.449, I = 30
hkl 2 0 0, 2θ 42.69, d 2.118, I = 33
hkl 0 3 3, 2θ 44.67, d 2.029, I = 26
hkl 0 6 0, 2θ 45.31, d 2.001, I = 21
hkl 1 5 3, 2θ 59.16, d 1.562, I = 17
hkl 1 7 1, 2θ 59.64, d 1.550, I = 15

Crystal structure
```
data_Dy3Al2GaGe2Pt
_chemical_formula_sum 'Dy6 Al4 Ga2 Ge4 Pt2'
_cell_length_a 4.236
_cell_length_b 12.003
_cell_length_c 7.062
_cell_angle_alpha 90.00
_cell_angle_beta 90.00
_cell_angle_gamma 90.00
_space_group_name_H-M_alt 'A m m 2'
_space_group_IT_number 38
loop_
_space_group_symop_operation_xyz
'x,y,z'
'-x,-y,z'
'-x,y,z'
'x,-y,z'
'x,y+1/2,z+1/2'
'-x,-y+1/2,z+1/2'
'-x,y+1/2,z+1/2'
'x,-y+1/2,z+1/2'
loop_
_atom_site_label
_atom_site_type_symbol
_atom_site_fract_x
_atom_site_fract_y
_atom_site_fract_z
Dy1 Dy 0.000 0.000 0.000
Dy2 Dy 0.000 0.204 0.371
Al1 Al 0.500 0.117 0.699
Ga1 Ga 0.500 0.000 0.347
Ge1 Ge 0.500 0.171 0.076
Pt1 Pt 0.000 0.000 0.596
```

***

Record 12
# Dy3AlGa2Ge2Pt
Computed PXRD pattern, a wavelength of 1.5418 Å. Input: a structure optimized by DFT (PBE).
Kinematic intensities with the Lorentz-polarization factor, no thermal factor.

Top 12 peaks for 10° ≤ 2θ ≤ 90°, in order of rising 2θ:
hkl 1 0 0, 2θ 20.96, d 4.239, I = 35
hkl 0 2 2, 2θ 29.66, d 3.012, I = 40
hkl 1 3 1, 2θ 33.05, d 2.710, I = 57
hkl 1 0 2, 2θ 33.46, d 2.678, I = 50
hkl 1 4 0, 2θ 36.10, d 2.488, I = 78
hkl 1 2 2, 2θ 36.60, d 2.455, I = 100
hkl 0 4 2, 2θ 39.23, d 2.296, I = 21
hkl 2 0 0, 2θ 42.66, d 2.119, I = 47
hkl 0 3 3, 2θ 45.16, d 2.008, I = 27
hkl 1 2 4, 2θ 59.74, d 1.548, I = 20
hkl 2 3 3, 2θ 63.86, d 1.458, I = 19
hkl 1 7 3, 2θ 71.05, d 1.327, I = 22

Crystal structure
```
data_Dy3AlGa2Ge2Pt
_chemical_formula_sum 'Dy6 Al2 Ga4 Ge4 Pt2'
_cell_length_a 4.239
_cell_length_b 12.294
_cell_length_c 6.910
_cell_angle_alpha 90.00
_cell_angle_beta 90.00
_cell_angle_gamma 90.00
_space_group_name_H-M_alt 'A m m 2'
_space_group_IT_number 38
loop_
_space_group_symop_operation_xyz
'x,y,z'
'-x,-y,z'
'-x,y,z'
'x,-y,z'
'x,y+1/2,z+1/2'
'-x,-y+1/2,z+1/2'
'-x,y+1/2,z+1/2'
'x,-y+1/2,z+1/2'
loop_
_atom_site_label
_atom_site_type_symbol
_atom_site_fract_x
_atom_site_fract_y
_atom_site_fract_z
Dy1 Dy 0.000 0.000 0.000
Dy2 Dy 0.000 0.208 0.614
Al1 Al 0.500 0.000 0.644
Ga1 Ga 0.500 0.119 0.295
Ge1 Ge 0.500 0.163 0.908
Pt1 Pt 0.000 0.000 0.423
```

***

Record 13
# Dy3Mg3AlGa2
Computed PXRD pattern, a wavelength of 1.5418 Å. Input: a structure optimized by DFT (PBE).
Kinematic intensities with the Lorentz-polarization factor, no thermal factor.

Top 12 peaks for 10° ≤ 2θ ≤ 90°, in order of rising 2θ:
hkl 1 0 0, 2θ 14.05, d 6.305, I = 39
hkl 0 0 1, 2θ 19.78, d 4.488, I = 22
hkl 1 1 0, 2θ 24.45, d 3.640, I = 20
hkl 2 0 0, 2θ 28.31, d 3.152, I = 31
hkl 1 1 1, 2θ 31.65, d 2.827, I = 88
hkl 2 0 1, 2θ 34.78, d 2.580, I = 100
hkl 2 1 0, 2θ 37.75, d 2.383, I = 30
hkl 0 0 2, 2θ 40.19, d 2.244, I = 24
hkl 3 0 0, 2θ 43.00, d 2.103, I = 19
hkl 3 1 0, 2θ 52.32, d 1.749, I = 25
hkl 3 1 1, 2θ 56.48, d 1.629, I = 33
hkl 3 1 2, 2θ 67.96, d 1.379, I = 23

Crystal structure
```
data_Dy3Mg3AlGa2
_chemical_formula_sum 'Dy3 Mg3 Al1 Ga2'
_cell_length_a 7.2803
_cell_length_b 7.2803
_cell_length_c 4.4877
_cell_angle_alpha 90.00
_cell_angle_beta 90.00
_cell_angle_gamma 120.00
_space_group_name_H-M_alt 'P -6 2 m'
_space_group_IT_number 189
_space_group_name_Hall 'P -6 -2'
loop_
_atom_site_label
_atom_site_type_symbol
_atom_site_fract_x
_atom_site_fract_y
_atom_site_fract_z
Dy1 Dy 0.0000 0.5673 0.0000
Mg1 Mg 0.0000 0.2460 0.5000
Al1 Al 0.0000 0.0000 0.0000
Ga1 Ga 0.3333 0.6667 0.5000
```

***

Record 14
# GdDyAl4Pd2
Computed PXRD pattern, a wavelength of 1.5418 Å. Input: a structure optimized by DFT (PBE).
Kinematic intensities with the Lorentz-polarization factor, no thermal factor.

Top 12 peaks for 10° ≤ 2θ ≤ 90°, in order of rising 2θ:
hkl 0 1 1, 2θ 22.43, d 3.965, I = 51
hkl 2 0 0, 2θ 25.64, d 3.475, I = 51
hkl 2 1 1, 2θ 34.32, d 2.613, I = 74
hkl 1 1 3, 2θ 35.91, d 2.501, I = 100
hkl 1 0 4, 2θ 37.28, d 2.412, I = 49
hkl 0 2 0, 2θ 42.06, d 2.148, I = 28
hkl 2 2 0, 2θ 49.91, d 1.827, I = 17
hkl 3 1 3, 2θ 52.19, d 1.753, I = 27
hkl 3 0 4, 2θ 53.22, d 1.721, I = 14
hkl 1 2 4, 2θ 57.45, d 1.604, I = 28
hkl 0 1 7, 2θ 67.34, d 1.391, I = 14
hkl 1 3 3, 2θ 72.86, d 1.298, I = 13

Crystal structure
```
data_GdDyAl4Pd2
_chemical_formula_sum 'Gd2 Dy2 Al8 Pd4'
_cell_length_a 6.949
_cell_length_b 4.296
_cell_length_c 10.287
_cell_angle_alpha 90.00
_cell_angle_beta 90.00
_cell_angle_gamma 90.00
_space_group_name_H-M_alt 'A m m 2'
_space_group_IT_number 38
loop_
_space_group_symop_operation_xyz
'x,y,z'
'-x,-y,z'
'-x,y,z'
'x,-y,z'
'x,y+1/2,z+1/2'
'-x,-y+1/2,z+1/2'
'-x,y+1/2,z+1/2'
'x,-y+1/2,z+1/2'
loop_
_atom_site_label
_atom_site_type_symbol
_atom_site_fract_x
_atom_site_fract_y
_atom_site_fract_z
Gd1 Gd 0.000 0.000 0.000
Dy1 Dy 0.500 0.000 0.857
Al1 Al 0.197 0.000 0.287
Al2 Al 0.304 0.000 0.571
Pd1 Pd 0.000 0.000 0.718
Pd2 Pd 0.500 0.000 0.139
```